Record 1
BaGaNi2P6: theoretical powder diffraction line list (Cu Kα, 1.54184 Å), based on a cell relaxed with PBE.
Peak positions follow from Bragg's law for the DFT cell and can differ from measured ones.

Peak list (10 most intense, 2θ = 10–90°, low angle first)
| index | 2θ (°) | d (Å) | Rel. int. |
| --- | --- | --- | --- |
| 0 0 3 | 10.78 | 8.207 | 34 |
| 1 0 4 | 22.88 | 3.886 | 100 |
| 1 1 0 | 30.90 | 2.894 | 50 |
| 1 0 7 | 31.06 | 2.879 | 36 |
| 0 1 8 | 34.19 | 2.623 | 24 |
| 1 1 6 | 38.05 | 2.365 | 16 |
| 0 2 4 | 38.80 | 2.321 | 17 |
| 2 1 4 | 50.40 | 1.811 | 45 |
| 1 2 8 | 57.09 | 1.613 | 22 |
| 2 2 0 | 64.41 | 1.447 | 16 |

Structure:
a = 5.7872 Å, b = 5.7872 Å, c = 24.6209 Å
α = 90.00°, β = 90.00°, γ = 120.00°
Space group R-3m (No. 166, hexagonal axes)
Asymmetric unit:
Ba  0.0000  0.0000  0.0000 (multiplicity 3)
Ga  0.0000  0.0000  0.5000 (multiplicity 3)
Ni  0.0000  0.0000  0.2751 (multiplicity 6)
P  0.0712  0.5356  0.0814 (multiplicity 18)

Record 2
Ba2Ga6NiRu: theoretical powder diffraction line list (Cu Kα, 1.54184 Å), based on a cell relaxed with PBE.
Peak positions follow from Bragg's law for the DFT cell and can differ from measured ones.

Peak list (10 most intense, 2θ = 10–90°, low angle first)
| index | 2θ (°) | d (Å) | Rel. int. |
| --- | --- | --- | --- |
| 2 0 -2 | 25.85 | 3.447 | 18 |
| 0 2 0 | 26.66 | 3.344 | 50 |
| 1 1 -2 | 30.27 | 2.952 | 61 |
| 2 2 0 | 32.63 | 2.744 | 63 |
| 4 0 0 | 37.47 | 2.400 | 100 |
| 1 3 0 | 41.58 | 2.172 | 28 |
| 5 1 -3 | 46.58 | 1.950 | 22 |
| 6 2 -2 | 54.91 | 1.672 | 36 |
| 3 1 2 | 55.48 | 1.656 | 20 |
| 1 3 2 | 56.35 | 1.633 | 22 |

Structure:
a = 11.5783 Å, b = 6.6917 Å, c = 6.8981 Å
α = 90.00°, β = 123.99°, γ = 90.00°
Space group C2/m (No. 12)
Asymmetric unit:
Ba  0.2193  0.0000  0.1586 (multiplicity 4)
Ga  0.0318  0.2875  0.3090 (multiplicity 8)
Ga  0.2447  0.5000  0.3096 (multiplicity 4)
Ni  0.0000  0.5000  0.0000 (multiplicity 2)
Ru  0.0000  0.0000  0.5000 (multiplicity 2)

Record 3
BaNp2GaO8: theoretical powder diffraction line list (Cu Kα, 1.54184 Å), based on a cell relaxed with PBE.
Peak positions follow from Bragg's law for the DFT cell and can differ from measured ones.

Peak list (10 most intense, 2θ = 10–90°, low angle first)
| index | 2θ (°) | d (Å) | Rel. int. |
| --- | --- | --- | --- |
| 1 0 0 | 17.37 | 5.105 | 57 |
| 1 1 0 | 23.27 | 3.823 | 100 |
| 1 -1 0 | 25.99 | 3.428 | 71 |
| 0 1 2 | 30.40 | 2.941 | 81 |
| 0 1 -2 | 31.05 | 2.880 | 71 |
| 2 0 0 | 35.15 | 2.553 | 55 |
| 1 2 2 | 45.11 | 2.010 | 36 |
| 1 2 -2 | 46.51 | 1.952 | 32 |
| -1 2 2 | 48.68 | 1.871 | 26 |
| 1 -2 2 | 49.12 | 1.855 | 24 |

Structure:
a = 5.1365 Å, b = 5.1366 Å, c = 7.0872 Å
α = 88.58°, β = 88.59°, γ = 83.74°
Space group P-1 (No. 2)
Asymmetric unit:
Ba  0.0000  0.0000  0.0000 (multiplicity 1)
Np  0.4960  0.4960  0.2642 (multiplicity 2)
Ga  0.0000  0.0000  0.5000 (multiplicity 1)
O  0.2002  0.7922  0.6956 (multiplicity 2)
O  0.2066  0.7988  0.3046 (multiplicity 2)
O  0.3233  0.3223  0.4958 (multiplicity 2)
O  0.3420  0.3403  0.9765 (multiplicity 2)

Record 4
BaNpGaO6: theoretical powder diffraction line list (Cu Kα, 1.54184 Å), based on a cell relaxed with PBE.
Peak positions follow from Bragg's law for the DFT cell and can differ from measured ones.

Peak list (10 most intense, 2θ = 10–90°, low angle first)
| index | 2θ (°) | d (Å) | Rel. int. |
| --- | --- | --- | --- |
| 0 0 1 | 15.07 | 5.878 | 22 |
| 1 0 0 | 19.04 | 4.662 | 17 |
| 1 0 1 | 24.37 | 3.653 | 100 |
| 0 0 2 | 30.41 | 2.939 | 12 |
| 1 1 0 | 33.29 | 2.691 | 34 |
| 2 0 1 | 41.68 | 2.167 | 22 |
| 2 -1 2 | 45.71 | 1.985 | 41 |
| 1 0 3 | 50.53 | 1.806 | 13 |
| 3 -1 1 | 54.36 | 1.688 | 22 |
| 3 0 0 | 59.49 | 1.554 | 10 |

Structure:
a = 5.3829 Å, b = 5.3829 Å, c = 5.8785 Å
α = 90.00°, β = 90.00°, γ = 120.00°
Space group P312 (No. 149)
Asymmetric unit:
Ba  0.0000  0.0000  0.0000 (multiplicity 1)
Np  0.6667  0.3333  0.5000 (multiplicity 1)
Ga  0.3333  0.6667  0.5000 (multiplicity 1)
O  0.0013  0.3802  0.6933 (multiplicity 6)

Record 5
Ba2NpGaS6: theoretical powder diffraction line list (Cu Kα, 1.54184 Å), based on a cell relaxed with PBE.
Peak positions follow from Bragg's law for the DFT cell and can differ from measured ones.

Peak list (10 most intense, 2θ = 10–90°, low angle first)
| index | 2θ (°) | d (Å) | Rel. int. |
| --- | --- | --- | --- |
| 1 0 1 | 14.78 | 5.993 | 33 |
| 1 0 7 | 22.77 | 3.905 | 65 |
| 1 1 0 | 25.37 | 3.510 | 100 |
| 1 0 10 | 29.03 | 3.076 | 24 |
| 0 1 11 | 31.27 | 2.861 | 21 |
| 0 2 7 | 34.35 | 2.611 | 63 |
| 2 1 7 | 43.19 | 2.095 | 25 |
| 3 0 0 | 44.72 | 2.027 | 23 |
| 2 2 0 | 52.11 | 1.755 | 32 |
| 2 0 17 | 53.05 | 1.726 | 23 |

Structure:
a = 7.0204 Å, b = 7.0204 Å, c = 35.6639 Å
α = 90.00°, β = 90.00°, γ = 120.00°
Space group R-3m (No. 166, hexagonal axes)
Asymmetric unit:
Ba  0.0000  0.0000  0.1271 (multiplicity 6)
Ba  0.0000  0.0000  0.2954 (multiplicity 6)
Np  0.0000  0.0000  0.4151 (multiplicity 6)
Ga  0.0000  0.0000  0.0000 (multiplicity 3)
Ga  0.0000  0.0000  0.5000 (multiplicity 3)
S  0.0021  0.5010  0.8734 (multiplicity 18)
S  0.0088  0.5044  0.7072 (multiplicity 18)

Record 6
Ba2NpGaS5: theoretical powder diffraction line list (Cu Kα, 1.54184 Å), based on a cell relaxed with PBE.
Peak positions follow from Bragg's law for the DFT cell and can differ from measured ones.

Peak list (10 most intense, 2θ = 10–90°, low angle first)
| index | 2θ (°) | d (Å) | Rel. int. |
| --- | --- | --- | --- |
| 0 2 2 | 16.78 | 5.284 | 18 |
| 0 4 1 | 20.71 | 4.288 | 11 |
| 0 2 3 | 22.75 | 3.909 | 34 |
| 1 3 0 | 25.98 | 3.430 | 26 |
| 1 3 1 | 26.90 | 3.314 | 19 |
| 1 1 3 | 30.23 | 2.956 | 100 |
| 1 5 2 | 35.60 | 2.522 | 31 |
| 0 8 2 | 42.14 | 2.144 | 10 |
| 2 0 0 | 43.54 | 2.079 | 14 |
| 2 6 1 | 53.97 | 1.699 | 13 |

Structure:
a = 4.1574 Å, b = 18.1726 Å, c = 12.9916 Å
α = 90.00°, β = 90.00°, γ = 90.00°
Space group Cmc2_1 (No. 36)
Asymmetric unit:
Ba  0.0000  0.1181  0.0000 (multiplicity 4)
Ba  0.0000  0.1277  0.6443 (multiplicity 4)
Np  0.0000  0.1987  0.3399 (multiplicity 4)
Ga  0.0000  0.4448  0.7456 (multiplicity 4)
S  0.0000  0.0406  0.3366 (multiplicity 4)
S  0.0000  0.2973  0.9785 (multiplicity 4)
S  0.0000  0.3176  0.6934 (multiplicity 4)
S  0.0000  0.3459  0.3246 (multiplicity 4)
S  0.0000  0.4987  0.0913 (multiplicity 4)